Entry 1:
Starting from the PBE geometry in Alexandria, the X-ray powder pattern of Li7B8C8 was simulated for Cu Kα, 1.54184 Å.

```
data_Li7B8C8
_space_group_name_H-M_alt 'C 1 2/m 1'
_space_group_IT_number 12
_cell_length_a 14.2747
_cell_length_b 5.4744
_cell_length_c 4.7276
_cell_angle_alpha 90.00
_cell_angle_beta 90.10
_cell_angle_gamma 90.00
loop_
_space_group_symop_operation_xyz
'x,y,z'
'-x,-y,-z'
'-x,y,-z'
'x,-y,z'
'x+1/2,y+1/2,z'
'-x+1/2,-y+1/2,-z'
'-x+1/2,y+1/2,-z'
'x+1/2,-y+1/2,z'
loop_
_atom_site_label
_atom_site_fract_x
_atom_site_fract_y
_atom_site_fract_z
Li1 0.0000 0.0000 0.0000
Li2 0.0000 0.2586 0.5000
Li3 0.2495 0.0000 0.9984
Li4 0.2500 0.2500 0.5000
B1 0.1245 0.2518 0.1623
B2 0.1263 0.0000 0.6640
B3 0.1264 0.5000 0.6658
C1 0.1239 0.0000 0.3289
C2 0.1274 0.2494 0.8303
C3 0.1270 0.5000 0.3325
```

The 10 most intense peaks (2θ from 10° to 90°), in order of rising 2θ:
- hkl 4 0 0, 24.95 deg, intensity 100
- hkl 0 0 2, 38.01 deg, intensity 7
- hkl 4 0 -2, 45.99 deg, intensity 55
- hkl 4 0 2, 46.10 deg, intensity 10
- hkl 8 0 0, 51.20 deg, intensity 20
- hkl 0 4 0, 68.57 deg, intensity 7
- hkl 0 2 3, 68.73 deg, intensity 14
- hkl 4 4 0, 74.21 deg, intensity 3
- hkl 4 2 3, 74.37 deg, intensity 6
- hkl 4 4 -2, 86.60 deg, intensity 6

Entry 2:
Starting from the PBE geometry in Alexandria, the X-ray powder pattern of LiB4C4 was simulated for Cu Kα, 1.54184 Å.

```
data_LiB4C4
_space_group_name_H-M_alt 'P 1 2/c 1'
_space_group_IT_number 13
_cell_length_a 5.2685
_cell_length_b 5.5138
_cell_length_c 4.8214
_cell_angle_alpha 90.00
_cell_angle_beta 96.32
_cell_angle_gamma 90.00
loop_
_space_group_symop_operation_xyz
'x,y,z'
'-x,-y,-z'
'-x,y,-z+1/2'
'x,-y,z+1/2'
loop_
_atom_site_label
_atom_site_fract_x
_atom_site_fract_y
_atom_site_fract_z
Li1 0.0000 0.1302 0.2500
B1 0.3315 0.3745 0.4741
B2 0.3507 0.1235 0.9603
C1 0.3100 0.1247 0.6254
C2 0.3490 0.3755 0.1435
```

The 10 most intense peaks (2θ from 10° to 90°), in order of rising 2θ:
- hkl 1 0 0, 16.93 deg, intensity 100
- hkl 2 0 0, 34.25 deg, intensity 9
- hkl 0 2 1, 37.64 deg, intensity 16
- hkl 1 2 -1, 40.63 deg, intensity 5
- hkl 1 2 1, 42.43 deg, intensity 6
- hkl 1 0 2, 43.22 deg, intensity 8
- hkl 3 0 0, 52.42 deg, intensity 12
- hkl 0 4 0, 68.01 deg, intensity 5
- hkl 1 2 3, 72.35 deg, intensity 6
- hkl 2 2 -3, 74.52 deg, intensity 5

Entry 3:
Starting from the PBE geometry in Alexandria, the X-ray powder pattern of LiB2C2 was simulated for Cu Kα, 1.54184 Å.

```
data_LiB2C2
_space_group_name_H-M_alt 'P 3 1 2'
_space_group_IT_number 149
_cell_length_a 4.6859
_cell_length_b 4.6859
_cell_length_c 7.3337
_cell_angle_alpha 90.00
_cell_angle_beta 90.00
_cell_angle_gamma 120.00
loop_
_space_group_symop_operation_xyz
'x,y,z'
'-y,x-y,z'
'-x+y,-x,z'
'-y,-x,-z'
'-x+y,y,-z'
'x,x-y,-z'
loop_
_atom_site_label
_atom_site_fract_x
_atom_site_fract_y
_atom_site_fract_z
Li1 0.0000 0.0000 0.0000
Li2 0.0000 0.0000 0.5000
Li3 0.6667 0.3333 0.0000
B1 0.0019 0.3368 0.7553
C1 0.3320 0.0018 0.2422
```

The 10 most intense peaks (2θ from 10° to 90°), in order of rising 2θ:
- hkl 0 0 1, 12.07 deg, intensity 6
- hkl 1 0 0, 21.90 deg, intensity 3
- hkl 0 0 2, 24.27 deg, intensity 100
- hkl 1 1 0, 38.42 deg, intensity 10
- hkl 2 -1 2, 45.97 deg, intensity 35
- hkl 0 0 4, 49.73 deg, intensity 13
- hkl 2 -1 4, 64.54 deg, intensity 2
- hkl 3 0 0, 69.49 deg, intensity 12
- hkl 3 0 2, 74.81 deg, intensity 9
- hkl 2 2 2, 87.39 deg, intensity 4

Entry 4:
Starting from the PBE geometry in Alexandria, the X-ray powder pattern of Li7B8C8 was simulated for Cu Kα, 1.54184 Å.

```
data_Li7B8C8
_space_group_name_H-M_alt 'P 1 2/m 1'
_space_group_IT_number 10
_cell_length_a 8.5784
_cell_length_b 2.7392
_cell_length_c 8.6196
_cell_angle_alpha 90.00
_cell_angle_beta 113.36
_cell_angle_gamma 90.00
loop_
_space_group_symop_operation_xyz
'x,y,z'
'-x,-y,-z'
'-x,y,-z'
'x,-y,z'
loop_
_atom_site_label
_atom_site_fract_x
_atom_site_fract_y
_atom_site_fract_z
Li1 0.0000 0.0000 0.0000
Li2 0.0000 0.5000 0.5000
Li3 0.2489 0.0000 0.7526
Li4 0.2745 0.5000 0.2717
Li5 0.5000 0.5000 0.0000
B1 0.0455 0.0000 0.2928
B2 0.2053 0.5000 0.9601
B3 0.2922 0.5000 0.5484
B4 0.4637 0.0000 0.2035
C1 0.0375 0.5000 0.7930
C2 0.2076 0.0000 0.4635
C3 0.2902 0.0000 0.0420
C4 0.4511 0.5000 0.7195
```

The 10 most intense peaks (2θ from 10° to 90°), in order of rising 2θ:
- hkl 2 0 -2, 24.78 deg, intensity 100
- hkl 1 1 1, 37.97 deg, intensity 5
- hkl 0 0 4, 45.84 deg, intensity 32
- hkl 3 1 -1, 45.93 deg, intensity 22
- hkl 4 0 0, 46.10 deg, intensity 10
- hkl 4 0 -4, 50.83 deg, intensity 19
- hkl 0 2 0, 68.51 deg, intensity 7
- hkl 3 1 3, 68.77 deg, intensity 13
- hkl 5 1 1, 74.46 deg, intensity 3
- hkl 4 2 0, 86.60 deg, intensity 4